Starting from a structure optimized by DFT (PBE+U), the powder diffraction line list of BaLaCoIrO6 was simulated for Cu Kα (weighted mean of Kα1 and Kα2).
Peak positions follow from Bragg's law for the DFT cell and can differ from measured ones.

Structure:
```
data_BaLaCoIrO6
_chemical_formula_sum 'Ba1 La1 Co1 Ir1 O6'
_symmetry_space_group_name_H-M 'P 1'
_symmetry_Int_Tables_number 1
_symmetry_space_group_name_Hall 'P 1'
_cell_length_a 5.686
_cell_length_b 5.700
_cell_length_c 5.702
_cell_angle_alpha 119.34
_cell_angle_beta 119.85
_cell_angle_gamma 90.31
loop_
_atom_site_label
_atom_site_fract_x
_atom_site_fract_y
_atom_site_fract_z
Ba1 0.000 0.000 0.000
La1 0.511 0.491 0.998
Co1 0.250 0.751 0.500
Ir1 0.748 0.253 0.499
O1 0.054 0.071 0.534
O2 0.472 0.466 0.530
O3 0.517 0.924 0.426
O4 0.521 0.051 0.011
O5 0.952 0.476 0.988
O6 0.960 0.542 0.512
```

Principal peaks in the range 2θ from 5° to 70°, by intensity:
2θ = 31.4°, I = 100, hkl 0 2 -1
2θ = 31.5°, I = 34, hkl 2 0 -1
2θ = 31.2°, I = 33, hkl 1 1 0
2θ = 31.1°, I = 33, hkl -1 1 1
2θ = 56.0°, I = 27, hkl 3 1 -1
2θ = 55.7°, I = 21, hkl 1 3 -1
2θ = 44.5°, I = 19, hkl 0 0 2
2θ = 44.9°, I = 18, hkl 2 -2 0
2θ = 45.2°, I = 18, hkl 2 2 -2
2θ = 19.1°, I = 16, hkl 1 0 0
2θ = 19.0°, I = 16, hkl 0 1 0
2θ = 55.5°, I = 14, hkl 2 0 -3